CoHgAsHO5: simulated XRD peak list (Cu Kα (λ = 1.5418 Å)), based on the PBE+U geometry in OQMD.

Main lines, low angle first (15 to 90 degrees two-theta):
two_theta  d [Å]  I/Imax
27.38  3.258  100
32.61  2.746  42
33.12  2.705  44
34.43  2.605  42
36.18  2.483  46
56.46  1.630  41

Structural model:
Unit cell a=7.630 b=6.258 c=8.678 alpha=90.00 beta=90.00 gamma=90.00
Element x y z (fractional)
Co1 0.000 0.000 0.000
Co2 0.000 0.500 0.000
Co3 0.500 0.000 0.500
Co4 0.500 0.500 0.500
Hg1 0.115 0.250 0.328
Hg2 0.385 0.750 0.828
Hg3 0.615 0.250 0.172
Hg4 0.885 0.750 0.672
As1 0.145 0.250 0.686
As2 0.355 0.750 0.186
As3 0.645 0.250 0.814
As4 0.855 0.750 0.314
H1 0.232 0.750 0.543
H2 0.268 0.250 0.043
H3 0.732 0.750 0.957
H4 0.768 0.250 0.457
O1 0.020 0.750 0.453
O2 0.132 0.018 0.792
O3 0.132 0.482 0.792
O4 0.145 0.250 0.081
O5 0.165 0.750 0.078
O6 0.335 0.250 0.578
O7 0.355 0.750 0.581
O8 0.368 0.518 0.292
O9 0.368 0.982 0.292
O10 0.480 0.250 0.953
O11 0.520 0.750 0.047
O12 0.632 0.018 0.708
O13 0.632 0.482 0.708
O14 0.645 0.250 0.419
O15 0.665 0.750 0.422
O16 0.835 0.250 0.922
O17 0.855 0.750 0.919
O18 0.868 0.518 0.208
O19 0.868 0.982 0.208
O20 0.980 0.250 0.547

---

NaCo3As3H2O12: simulated XRD peak list (Cu Kα (λ = 1.5418 Å)), based on the PBE+U geometry in OQMD.

Main lines, low angle first (15 to 90 degrees two-theta):
two_theta  d [Å]  I/Imax
25.24  3.529  35
27.47  3.247  100
32.41  2.763  39
32.65  2.742  68
33.29  2.691  72
34.44  2.604  57

Structural model:
Unit cell a=8.596 b=8.596 c=6.776 alpha=105.68 beta=105.68 gamma=91.61
Element x y z (fractional)
Na1 0.004 0.996 0.750
Na2 0.996 0.004 0.250
Co1 0.045 0.367 0.614
Co2 0.285 0.715 0.250
Co3 0.367 0.045 0.114
Co4 0.633 0.955 0.886
Co5 0.715 0.285 0.750
Co6 0.955 0.633 0.386
As1 0.105 0.335 0.111
As2 0.312 0.688 0.750
As3 0.335 0.105 0.611
As4 0.665 0.895 0.389
As5 0.688 0.312 0.250
As6 0.895 0.665 0.889
H1 0.385 0.392 0.700
H2 0.392 0.385 0.200
H3 0.608 0.615 0.800
H4 0.615 0.608 0.300
O1 0.020 0.399 0.316
O2 0.027 0.668 0.130
O3 0.140 0.149 0.595
O4 0.149 0.140 0.095
O5 0.201 0.731 0.523
O6 0.269 0.799 0.977
O7 0.282 0.463 0.165
O8 0.282 0.484 0.732
O9 0.332 0.973 0.370
O10 0.399 0.020 0.816
O11 0.463 0.282 0.665
O12 0.484 0.282 0.232
O13 0.516 0.718 0.768
O14 0.537 0.718 0.335
O15 0.601 0.980 0.184
O16 0.668 0.027 0.630
O17 0.718 0.516 0.268
O18 0.718 0.537 0.835
O19 0.731 0.201 0.023
O20 0.799 0.269 0.477
O21 0.851 0.860 0.905
O22 0.860 0.851 0.405
O23 0.973 0.332 0.870
O24 0.980 0.601 0.684

---

CoAs4H10O16: simulated XRD peak list (Cu Kα (λ = 1.5418 Å)), based on the PBE+U geometry in OQMD.

Main lines, low angle first (15 to 90 degrees two-theta):
two_theta  d [Å]  I/Imax
22.40  3.968  92
22.87  3.889  100
25.35  3.514  61
26.43  3.373  97
30.06  2.972  66
30.37  2.943  91

Structural model:
Unit cell a=5.409 b=7.287 c=8.157 alpha=100.21 beta=98.03 gamma=92.64
Element x y z (fractional)
Co1 0.000 0.000 0.000
As1 0.039 0.323 0.742
As2 0.419 0.827 0.775
As3 0.581 0.173 0.225
As4 0.961 0.677 0.258
H1 0.013 0.360 0.242
H2 0.227 0.131 0.563
H3 0.347 0.320 0.960
H4 0.375 0.907 0.268
H5 0.413 0.430 0.356
H6 0.587 0.570 0.644
H7 0.625 0.093 0.732
H8 0.653 0.680 0.040
H9 0.773 0.869 0.437
H10 0.987 0.640 0.758
O1 0.100 0.223 0.542
O2 0.123 0.813 0.822
O3 0.128 0.487 0.286
O4 0.129 0.833 0.177
O5 0.312 0.409 0.875
O6 0.349 0.162 0.060
O7 0.428 0.633 0.619
O8 0.451 0.022 0.679
O9 0.549 0.978 0.321
O10 0.572 0.367 0.381
O11 0.651 0.838 0.940
O12 0.688 0.591 0.125
O13 0.871 0.167 0.823
O14 0.872 0.513 0.714
O15 0.877 0.187 0.178
O16 0.900 0.777 0.458

---

Q: What is the formula in the second record?
A: NaCo3As3H2O12